Diffraction record for YCd2. The powder diffraction line list is theoretical, not measured: it uses a GGA-PBE-relaxed structure and Cu Ka.

The 6 most intense peaks (10° ≤ 2θ ≤ 90°), most intense first:
| Position (°2θ) | intensity |
| --- | --- |
| 33.44 | 100 |
| 38.96 | 33 |
| 67.07 | 25 |
| 55.92 | 21 |
| 38.48 | 17 |
| 66.41 | 12 |

a b c (Å): 14.4130 14.4130 14.4130
angles (deg): 161.54 161.54 26.22
Atoms (fractional coordinates):
Y 0.2950 0.5450 0.7500
Y 0.4550 0.7050 0.7500
Y 0.5450 0.2950 0.2500
Y 0.7050 0.4550 0.2500
Cd 0.0402 0.7902 0.2500
Cd 0.1259 0.3759 0.7500
Cd 0.2098 0.9598 0.2500
Cd 0.3759 0.1259 0.2500
Cd 0.6241 0.8741 0.7500
Cd 0.7902 0.0402 0.7500
Cd 0.8741 0.6241 0.2500
Cd 0.9598 0.2098 0.7500